CaPrBi2O6: calculated PXRD pattern (copper Kα), based on DFT lattice parameters and positions (PBE).

Largest 10 diffraction maxima, in order of rising 2θ, 2θ from 5° to 70°:
| two_theta | I_rel |
| --- | --- |
| 20.80 | 23 |
| 28.85 | 22 |
| 29.39 | 100 |
| 30.31 | 21 |
| 41.75 | 12 |
| 42.34 | 20 |
| 51.50 | 28 |
| 52.46 | 12 |
| 53.28 | 23 |
| 60.97 | 12 |

Crystal structure
Lattice parameters (Å, degrees): 8.6535 6.1887 5.8981 90.00 90.00 90.00
Space group Pmn2_1 (No. 31)
Symmetry-distinct sites (fractional):
Ca  0.0000  0.2006  0.0000 (multiplicity 2)
Pr  0.0000  0.6849  0.5379 (multiplicity 2)
Bi  0.2492  0.2451  0.5154 (multiplicity 4)
O  0.0000  0.3188  0.3744 (multiplicity 2)
O  0.0000  0.8190  0.1586 (multiplicity 2)
O  0.1734  0.4483  0.8184 (multiplicity 4)
O  0.1767  0.9367  0.6970 (multiplicity 4)